[1]
For Tb5S7, DFT lattice parameters and positions (GGA-PBE) gives the theoretical powder diffraction line list in this record (Cu Kα X-rays).
No peak broadening, texture or thermal motion is included.

Crystal structure
```
data_Tb5S7
_chemical_formula_sum 'Tb10 S14'
_cell_length_a 12.935
_cell_length_b 3.829
_cell_length_c 11.659
_cell_angle_alpha 90.00
_cell_angle_beta 104.66
_cell_angle_gamma 90.00
_space_group_name_H-M_alt 'C 1 2/m 1'
_space_group_IT_number 12
loop_
_space_group_symop_operation_xyz
'x,y,z'
'-x,-y,-z'
'-x,y,-z'
'x,-y,z'
'x+1/2,y+1/2,z'
'-x+1/2,-y+1/2,-z'
'-x+1/2,y+1/2,-z'
'x+1/2,-y+1/2,z'
loop_
_atom_site_label
_atom_site_type_symbol
_atom_site_fract_x
_atom_site_fract_y
_atom_site_fract_z
Tb1 Tb 0.000 0.000 0.000
Tb2 Tb 0.112 0.000 0.421
Tb3 Tb 0.200 0.500 0.812
S1 S 0.000 0.500 0.500
S2 S 0.042 0.000 0.785
S3 S 0.159 0.500 0.051
S4 S 0.241 0.500 0.352
```

Principal peaks in the range 10 to 90 degrees two-theta, by angle:
(2 0 2), d 3.745, intensity 86
(2 0 -3), d 3.658, intensity 100
(4 0 -1), d 3.233, intensity 38
(3 1 -1), d 2.854, intensity 38
(3 1 -2), d 2.715, intensity 48
(3 1 1), d 2.632, intensity 37

=====

[2]
For Tb3Te2S, DFT lattice parameters and positions (GGA-PBE) gives the theoretical powder diffraction line list in this record (Cu Kα X-rays).
No peak broadening, texture or thermal motion is included.

Crystal structure
```
data_Tb3Te2S
_chemical_formula_sum 'Tb12 Te8 S4'
_cell_length_a 7.500
_cell_length_b 12.694
_cell_length_c 7.172
_cell_angle_alpha 90.00
_cell_angle_beta 109.62
_cell_angle_gamma 90.00
_space_group_name_H-M_alt 'C 1 2/c 1'
_space_group_IT_number 15
loop_
_space_group_symop_operation_xyz
'x,y,z'
'-x,-y,-z'
'-x,y,-z+1/2'
'x,-y,z+1/2'
'x+1/2,y+1/2,z'
'-x+1/2,-y+1/2,-z'
'-x+1/2,y+1/2,-z+1/2'
'x+1/2,-y+1/2,z+1/2'
loop_
_atom_site_label
_atom_site_type_symbol
_atom_site_fract_x
_atom_site_fract_y
_atom_site_fract_z
Tb1 Tb 0.195 0.070 0.484
Tb2 Tb 0.250 0.250 0.000
Te1 Te 0.000 0.268 0.250
Te2 Te 0.000 0.424 0.750
S1 S 0.000 0.096 0.750
```

Principal peaks in the range 10 to 90 degrees two-theta, by angle:
(2 0 -2), d 2.991, intensity 100
(3 3 -1), d 2.152, intensity 19
(0 6 0), d 2.114, intensity 21
(1 3 -3), d 2.081, intensity 26
(2 6 -2), d 1.728, intensity 12
(2 6 2), d 1.494, intensity 8

=====

[3]
For Tb2U2Te2S5, DFT lattice parameters and positions (GGA-PBE) gives the theoretical powder diffraction line list in this record (Cu Kα X-rays).
No peak broadening, texture or thermal motion is included.

Crystal structure
```
data_Tb2U2Te2S5
_chemical_formula_sum 'Tb4 U4 Te4 S10'
_cell_length_a 5.210
_cell_length_b 5.210
_cell_length_c 25.115
_cell_angle_alpha 90.00
_cell_angle_beta 90.00
_cell_angle_gamma 90.00
_space_group_name_H-M_alt 'I 4/m m m'
_space_group_IT_number 139
_space_group_name_Hall '-I 4 2'
loop_
_atom_site_label
_atom_site_type_symbol
_atom_site_fract_x
_atom_site_fract_y
_atom_site_fract_z
Tb1 Tb 0.000 0.000 0.159
U1 U 0.000 0.000 0.398
Te1 Te 0.000 0.000 0.280
S1 S 0.000 0.000 0.500
S2 S 0.000 0.500 0.113
```

Principal peaks in the range 10 to 90 degrees two-theta, by angle:
(0 0 4), d 6.279, intensity 53
(1 1 0), d 3.684, intensity 100
(1 0 7), d 2.955, intensity 40
(2 0 0), d 2.605, intensity 68
(1 0 9), d 2.460, intensity 78
(2 1 9), d 1.788, intensity 60

=====

[4]
For Tb5ThS6, DFT lattice parameters and positions (GGA-PBE) gives the theoretical powder diffraction line list in this record (Cu Kα X-rays).
No peak broadening, texture or thermal motion is included.

Crystal structure
```
data_Tb5ThS6
_chemical_formula_sum 'Tb10 Th2 S12'
_cell_length_a 6.822
_cell_length_b 11.851
_cell_length_c 6.851
_cell_angle_alpha 90.00
_cell_angle_beta 109.62
_cell_angle_gamma 90.00
_space_group_name_H-M_alt 'C 1 2/m 1'
_space_group_IT_number 12
loop_
_space_group_symop_operation_xyz
'x,y,z'
'-x,-y,-z'
'-x,y,-z'
'x,-y,z'
'x+1/2,y+1/2,z'
'-x+1/2,-y+1/2,-z'
'-x+1/2,y+1/2,-z'
'x+1/2,-y+1/2,z'
loop_
_atom_site_label
_atom_site_type_symbol
_atom_site_fract_x
_atom_site_fract_y
_atom_site_fract_z
Tb1 Tb 0.000 0.000 0.000
Tb2 Tb 0.000 0.167 0.500
Tb3 Tb 0.000 0.334 0.000
Th1 Th 0.000 0.500 0.500
S1 S 0.246 0.000 0.754
S2 S 0.246 0.170 0.246
```

Principal peaks in the range 10 to 90 degrees two-theta, by angle:
(0 0 2), d 3.226, intensity 64
(2 0 0), d 3.213, intensity 21
(1 3 1), d 2.791, intensity 100
(0 6 0), d 1.976, intensity 36
(2 0 2), d 1.971, intensity 36
(2 6 0), d 1.684, intensity 28